Starting from DFT lattice parameters and positions (PBE), the powder diffractogram of MgIn4Br6 was computed for copper Kα.
Neutral-atom scattering factors, no anomalous dispersion.

Structural model:
```
data_MgIn4Br6
_chemical_formula_sum 'Mg2 In8 Br12'
_cell_length_a 9.5517
_cell_length_b 9.5517
_cell_length_c 14.3753
_cell_angle_alpha 115.65
_cell_angle_beta 115.65
_cell_angle_gamma 52.91
_symmetry_space_group_name_H-M 'P 1'
_symmetry_Int_Tables_number 1
loop_
_symmetry_equiv_pos_as_xyz
'x,y,z'
loop_
_atom_site_label
_atom_site_type_symbol
_atom_site_fract_x
_atom_site_fract_y
_atom_site_fract_z
Mg1 Mg 0.2479 0.7521 0.5000
Mg2 Mg 0.7521 0.2479 0.0000
In1 In 0.1224 0.3315 0.2696
In2 In 0.1533 0.7509 0.8987
In3 In 0.3315 0.1224 0.7696
In4 In 0.4290 0.7097 0.2645
In5 In 0.6988 0.8675 0.0793
In6 In 0.7097 0.4290 0.7645
In7 In 0.7509 0.1533 0.3987
In8 In 0.8675 0.6988 0.5793
Br1 Br 0.0171 0.9977 0.6084
Br2 Br 0.0767 0.7389 0.3082
Br3 Br 0.4073 0.4445 0.5299
Br4 Br 0.4306 0.8209 0.8675
Br5 Br 0.4427 0.8760 0.5368
Br6 Br 0.4445 0.4073 0.0299
Br7 Br 0.5155 0.9623 0.2455
Br8 Br 0.7389 0.0767 0.8082
Br9 Br 0.8209 0.4306 0.3675
Br10 Br 0.8760 0.4427 0.0368
Br11 Br 0.9623 0.5155 0.7455
Br12 Br 0.9977 0.0171 0.1084
```

The 10 most intense peaks (15 to 90 degrees two-theta), by angle:
- 2θ = 19.53°, intensity 100
- 2θ = 20.93°, intensity 31
- 2θ = 24.84°, intensity 49
- 2θ = 25.27°, intensity 38
- 2θ = 26.82°, intensity 57
- 2θ = 28.07°, intensity 54
- 2θ = 31.54°, intensity 41
- 2θ = 35.33°, intensity 35
- 2θ = 37.66°, intensity 33
- 2θ = 38.15°, intensity 41